Computed powder X-ray diffraction pattern
Compound: Pa3Al2Ni6
Radiation: λ = 1.5418 Å (Cu Kα)
Structure: a DFT-relaxed cell (GGA-PBE, Alexandria)

Main lines, low angle first (2θ from 10° to 90°):
Position (°2θ), d_spacing, I (rel.), (hkl)
24.8, 3.594, 38, 2 1 1
32.2, 2.784, 43, 3 1 0
35.3, 2.541, 65, 2 2 2
38.3, 2.353, 45, 3 2 1
41.0, 2.201, 31, 4 0 0
43.6, 2.075, 100, 3 3 0
57.3, 1.607, 30, 5 2 1
71.0, 1.327, 31, 6 2 2

Structural model:
```
data_Pa3Al2Ni6
_chemical_formula_sum 'Pa12 Al8 Ni24'
_space_group_name_H-M_alt 'I m -3 m'
_space_group_IT_number 229
_space_group_name_Hall '-I 4 2 3'
_cell_length_a 8.8030
_cell_length_b 8.8030
_cell_length_c 8.8030
_cell_angle_alpha 90.00
_cell_angle_beta 90.00
_cell_angle_gamma 90.00
loop_
_atom_site_label
_atom_site_fract_x
_atom_site_fract_y
_atom_site_fract_z
Pa1 0.0000 0.0000 0.2731
Al1 0.2500 0.2500 0.2500
Ni1 0.0000 0.3452 0.3452
```

=====

Computed powder X-ray diffraction pattern
Compound: Li2Ho2Zn3
Radiation: λ = 1.5418 Å (Cu Kα)
Structure: a DFT-relaxed cell (GGA-PBE, Alexandria)

Main lines, low angle first (2θ from 10° to 90°):
Position (°2θ), d_spacing, I (rel.), (hkl)
31.5, 2.841, 33, 1 5 0
34.5, 2.600, 75, 0 6 1
36.5, 2.464, 74, 1 7 0
37.0, 2.428, 100, 1 1 1
39.9, 2.261, 29, 0 8 1
62.7, 1.481, 30, 1 13 1
64.1, 1.454, 24, 2 6 1
66.9, 1.398, 24, 1 7 2

Structural model:
```
data_Li2Ho2Zn3
_chemical_formula_sum 'Li4 Ho4 Zn6'
_space_group_name_H-M_alt 'C m m m'
_space_group_IT_number 65
_space_group_name_Hall '-C 2 2'
_cell_length_a 3.5069
_cell_length_b 24.2364
_cell_length_c 3.3973
_cell_angle_alpha 90.00
_cell_angle_beta 90.00
_cell_angle_gamma 90.00
loop_
_atom_site_label
_atom_site_fract_x
_atom_site_fract_y
_atom_site_fract_z
Li1 0.0000 0.2066 0.0000
Ho1 0.0000 0.0741 0.0000
Zn1 0.0000 0.3480 0.5000
Zn2 0.0000 0.5000 0.5000
```

=====

Computed powder X-ray diffraction pattern
Compound: LiNp2PaS6
Radiation: λ = 1.5418 Å (Cu Kα)
Structure: a DFT-relaxed cell (GGA-PBE, Alexandria)

Main lines, low angle first (2θ from 10° to 90°):
Position (°2θ), d_spacing, I (rel.), (hkl)
13.8, 6.435, 30, 0 0 1
14.1, 6.299, 19, 1 0 0
24.3, 3.663, 100, 1 1 1
28.3, 3.150, 34, 2 0 0
34.4, 2.608, 23, 1 1 2
40.1, 2.251, 35, 2 0 2
40.5, 2.227, 27, 2 2 0
47.8, 1.903, 35, 3 1 1

Structural model:
```
data_LiNp2PaS6
_chemical_formula_sum 'Li1 Np2 Pa1 S6'
_space_group_name_H-M_alt 'P 4 m m'
_space_group_IT_number 99
_space_group_name_Hall 'P 4 -2'
_cell_length_a 6.2994
_cell_length_b 6.2994
_cell_length_c 6.4349
_cell_angle_alpha 90.00
_cell_angle_beta 90.00
_cell_angle_gamma 90.00
loop_
_atom_site_label
_atom_site_fract_x
_atom_site_fract_y
_atom_site_fract_z
Li1 0.0000 0.0000 0.0000
Np1 0.0000 0.5000 0.4635
Pa1 0.5000 0.5000 0.0496
S1 0.0000 0.0000 0.6334
S2 0.2397 0.2397 0.2096
S3 0.5000 0.5000 0.6329
```

=====

Computed powder X-ray diffraction pattern
Compound: RbTl4Cd3Cl12
Radiation: λ = 1.5418 Å (Cu Kα)
Structure: a DFT-relaxed cell (GGA-PBE, Alexandria)

Main lines, low angle first (2θ from 10° to 90°):
Position (°2θ), d_spacing, I (rel.), (hkl)
23.2, 3.837, 100, 2 2 0
28.5, 3.133, 22, 2 2 2
33.0, 2.713, 48, 4 0 0
40.7, 2.215, 46, 4 2 2
47.4, 1.919, 33, 4 4 0
53.4, 1.716, 23, 6 2 0
64.2, 1.450, 26, 6 4 2
78.9, 1.213, 14, 8 4 0

Structural model:
```
data_RbTl4Cd3Cl12
_chemical_formula_sum 'Rb2 Tl8 Cd6 Cl24'
_space_group_name_H-M_alt 'I m -3 m'
_space_group_IT_number 229
_space_group_name_Hall '-I 4 2 3'
_cell_length_a 10.8536
_cell_length_b 10.8536
_cell_length_c 10.8536
_cell_angle_alpha 90.00
_cell_angle_beta 90.00
_cell_angle_gamma 90.00
loop_
_atom_site_label
_atom_site_fract_x
_atom_site_fract_y
_atom_site_fract_z
Rb1 0.0000 0.0000 0.0000
Tl1 0.2500 0.2500 0.2500
Cd1 0.0000 0.0000 0.5000
Cl1 0.0000 0.0000 0.2730
Cl2 0.0000 0.2500 0.5000
```

=====

Computed powder X-ray diffraction pattern
Compound: Dy5Ga2Rh2
Radiation: λ = 1.5418 Å (Cu Kα)
Structure: a DFT-relaxed cell (GGA-PBE, Alexandria)

Main lines, low angle first (2θ from 10° to 90°):
Position (°2θ), d_spacing, I (rel.), (hkl)
11.6, 7.650, 40, 2 0 0
32.1, 2.789, 100, 3 1 2
33.2, 2.696, 58, 4 2 0
33.7, 2.662, 47, 4 0 2
33.8, 2.653, 63, 0 2 2
35.4, 2.534, 98, 4 2 1
38.0, 2.369, 61, 1 3 1
38.8, 2.322, 54, 1 1 3

Structural model:
```
data_Dy5Ga2Rh2
_chemical_formula_sum 'Dy20 Ga8 Rh8'
_space_group_name_H-M_alt 'C m c e'
_space_group_IT_number 64
_space_group_name_Hall '-C 2ac 2'
_cell_length_a 15.3009
_cell_length_b 7.6027
_cell_length_c 7.4118
_cell_angle_alpha 90.00
_cell_angle_beta 90.00
_cell_angle_gamma 90.00
loop_
_atom_site_label
_atom_site_fract_x
_atom_site_fract_y
_atom_site_fract_z
Dy1 0.0000 0.0000 0.0000
Dy2 0.1300 0.1748 0.3325
Ga1 0.2119 0.0000 0.0000
Rh1 0.0000 0.1309 0.6311
```

=====

Computed powder X-ray diffraction pattern
Compound: V5B2P
Radiation: λ = 1.5418 Å (Cu Kα)
Structure: a DFT-relaxed cell (GGA-PBE, Alexandria)

Main lines, low angle first (2θ from 10° to 90°):
Position (°2θ), d_spacing, I (rel.), (hkl)
36.1, 2.490, 65, 2 1 1
40.7, 2.217, 43, 1 1 4
43.6, 2.074, 100, 2 1 3
44.7, 2.025, 22, 2 2 0
46.7, 1.945, 67, 2 0 4
50.4, 1.812, 54, 3 1 0
72.5, 1.303, 18, 2 1 7
79.7, 1.203, 25, 3 3 4

Structural model:
```
data_V5B2P
_chemical_formula_sum 'V20 B8 P4'
_space_group_name_H-M_alt 'I 4/m c m'
_space_group_IT_number 140
_space_group_name_Hall '-I 4 2c'
_cell_length_a 5.7290
_cell_length_b 5.7290
_cell_length_c 10.5984
_cell_angle_alpha 90.00
_cell_angle_beta 90.00
_cell_angle_gamma 90.00
loop_
_atom_site_label
_atom_site_fract_x
_atom_site_fract_y
_atom_site_fract_z
V1 0.0000 0.0000 0.0000
V2 0.1694 0.3306 0.1399
B1 0.1149 0.3851 0.5000
P1 0.0000 0.0000 0.2500
```

=====

Computed powder X-ray diffraction pattern
Compound: GdAl2W
Radiation: λ = 1.5418 Å (Cu Kα)
Structure: a DFT-relaxed cell (GGA-PBE, Alexandria)

Main lines, low angle first (2θ from 10° to 90°):
Position (°2θ), d_spacing, I (rel.), (hkl)
18.1, 4.910, 100, 0 0 6
35.2, 2.547, 58, 0 1 2
36.6, 2.455, 31, 0 0 12
36.8, 2.440, 97, 1 0 4
42.7, 2.116, 62, 0 1 8
46.7, 1.943, 28, 1 0 10
62.2, 1.493, 21, 1 1 0
74.4, 1.276, 23, 1 1 12

Structural model:
```
data_GdAl2W
_chemical_formula_sum 'Gd3 Al6 W3'
_space_group_name_H-M_alt 'R -3 m'
_space_group_IT_number 166
_space_group_name_Hall '-R 3 2"'
_cell_length_a 2.9860
_cell_length_b 2.9860
_cell_length_c 29.4608
_cell_angle_alpha 90.00
_cell_angle_beta 90.00
_cell_angle_gamma 120.00
loop_
_atom_site_label
_atom_site_fract_x
_atom_site_fract_y
_atom_site_fract_z
Gd1 0.0000 0.0000 0.0000
Al1 0.0000 0.0000 0.2400
W1 0.0000 0.0000 0.5000
```

=====

Computed powder X-ray diffraction pattern
Compound: In12Hg16Bi
Radiation: λ = 1.5418 Å (Cu Kα)
Structure: a DFT-relaxed cell (GGA-PBE, Alexandria)

Main lines, low angle first (2θ from 10° to 90°):
Position (°2θ), d_spacing, I (rel.), (hkl)
30.7, 2.910, 25, 1 1 2
31.4, 2.846, 84, -2 2 2
32.4, 2.767, 16, 1 -3 3
32.9, 2.725, 100, 0 4 -1
35.6, 2.521, 82, 2 2 -3
36.4, 2.469, 25, 2 1 1
55.0, 1.669, 22, -2 6 1
60.5, 1.530, 18, 4 0 -5

Structural model:
```
data_In12Hg16Bi
_chemical_formula_sum 'In12 Hg16 Bi1'
_space_group_name_H-M_alt 'P 1'
_space_group_IT_number 1
_space_group_name_Hall 'P 1'
_cell_length_a 7.0058
_cell_length_b 11.3348
_cell_length_c 11.3350
_cell_angle_alpha 108.29
_cell_angle_beta 103.33
_cell_angle_gamma 103.52
loop_
_atom_site_label
_atom_site_fract_x
_atom_site_fract_y
_atom_site_fract_z
In1 0.0000 0.0000 0.0000
In2 0.0007 0.1860 0.7841
In3 0.0246 0.6949 0.8294
In4 0.1315 0.1469 0.5047
In5 0.2115 0.5252 0.1980
In6 0.2900 0.6704 0.6236
In7 0.3145 0.8740 0.4401
In8 0.5566 0.4292 0.6333
In9 0.6276 0.5288 0.0911
In10 0.6524 0.3341 0.3090
In11 0.7627 0.8677 0.3968
In12 0.7975 0.2398 0.0451
Hg1 0.0629 0.8912 0.6661
Hg2 0.1848 0.3324 0.3440
Hg3 0.3025 0.4584 0.8286
Hg4 0.3152 0.2667 0.0517
Hg5 0.3327 0.0662 0.2669
Hg6 0.4128 0.9750 0.9440
Hg7 0.4542 0.1742 0.7702
Hg8 0.5851 0.6188 0.4711
Hg9 0.6228 0.7327 0.8862
Hg10 0.6529 0.9298 0.7195
Hg11 0.6618 0.1507 0.5399
Hg12 0.7733 0.0573 0.2227
Hg13 0.8857 0.4512 0.9064
Hg14 0.9485 0.6135 0.3666
Hg15 0.9550 0.7935 0.1604
Hg16 0.9746 0.4130 0.5731
Bi1 0.3844 0.7620 0.1136
```

=====

Computed powder X-ray diffraction pattern
Compound: Tb2Nd3Pb4
Radiation: λ = 1.5418 Å (Cu Kα)
Structure: a DFT-relaxed cell (GGA-PBE, Alexandria)

Main lines, low angle first (2θ from 10° to 90°):
Position (°2θ), d_spacing, I (rel.), (hkl)
29.6, 3.017, 100, 3 1 1
30.0, 2.975, 33, 4 0 -2
32.6, 2.744, 51, 5 1 -1
32.7, 2.735, 53, 3 1 -2
32.9, 2.725, 19, 5 1 0
33.7, 2.658, 29, 1 1 2
35.0, 2.563, 53, 0 2 0
46.8, 1.942, 20, 4 2 -2

Structural model:
```
data_Tb2Nd3Pb4
_chemical_formula_sum 'Tb4 Nd6 Pb8'
_space_group_name_H-M_alt 'C 1 2/m 1'
_space_group_IT_number 12
_space_group_name_Hall '-C 2y'
_cell_length_a 16.6596
_cell_length_b 5.1263
_cell_length_c 6.9065
_cell_angle_alpha 90.00
_cell_angle_beta 105.08
_cell_angle_gamma 90.00
loop_
_atom_site_label
_atom_site_fract_x
_atom_site_fract_y
_atom_site_fract_z
Tb1 0.1665 0.0000 0.0786
Nd1 0.0000 0.5000 0.0000
Nd2 0.1174 0.5000 0.5793
Pb1 0.0062 0.0000 0.2839
Pb2 0.2462 0.5000 0.2873
```

=====

Computed powder X-ray diffraction pattern
Compound: K5AsCl2O4
Radiation: λ = 1.5418 Å (Cu Kα)
Structure: a DFT-relaxed cell (GGA-PBE, Alexandria)

Main lines, low angle first (2θ from 10° to 90°):
Position (°2θ), d_spacing, I (rel.), (hkl)
10.6, 8.378, 22, 1 0 0
16.0, 5.536, 32, 0 1 1
26.7, 3.340, 95, 2 1 1
27.7, 3.226, 23, 2 2 0
29.0, 3.077, 33, 1 0 2
29.7, 3.003, 100, 0 3 1
36.8, 2.442, 25, 3 2 0
39.0, 2.309, 68, 2 2 2

Structural model:
```
data_K5AsCl2O4
_chemical_formula_sum 'K10 As2 Cl4 O8'
_space_group_name_H-M_alt 'A m m 2'
_space_group_IT_number 38
_space_group_name_Hall 'A 2 -2'
_cell_length_a 8.3776
_cell_length_b 10.1119
_cell_length_c 6.6158
_cell_angle_alpha 90.00
_cell_angle_beta 90.00
_cell_angle_gamma 90.00
loop_
_atom_site_label
_atom_site_fract_x
_atom_site_fract_y
_atom_site_fract_z
K1 0.0000 0.0000 0.0000
K2 0.2946 0.1829 0.4043
As1 0.5000 0.0000 0.9138
Cl1 0.0000 0.2010 0.6644
O1 0.3340 0.0000 0.0735
O2 0.5000 0.1388 0.7587
```

=====

Computed powder X-ray diffraction pattern
Compound: DyZrTiN3
Radiation: λ = 1.5418 Å (Cu Kα)
Structure: a DFT-relaxed cell (GGA-PBE, Alexandria)

Main lines, low angle first (2θ from 10° to 90°):
Position (°2θ), d_spacing, I (rel.), (hkl)
10.2, 8.672, 100, 0 0 1
28.7, 3.112, 16, 2 0 -2
28.9, 3.093, 20, 0 1 1
30.9, 2.891, 15, 0 0 3
33.1, 2.703, 19, 2 0 1
34.1, 2.629, 59, 0 1 2
38.1, 2.363, 46, 2 1 -1
41.7, 2.168, 18, 0 0 4

Structural model:
```
data_DyZrTiN3
_chemical_formula_sum 'Dy2 Zr2 Ti2 N6'
_space_group_name_H-M_alt 'P 1 21/m 1'
_space_group_IT_number 11
_space_group_name_Hall '-P 2yb'
_cell_length_a 6.7504
_cell_length_b 3.3111
_cell_length_c 9.2127
_cell_angle_alpha 90.00
_cell_angle_beta 109.74
_cell_angle_gamma 90.00
loop_
_atom_site_label
_atom_site_fract_x
_atom_site_fract_y
_atom_site_fract_z
Dy1 0.1982 0.2500 0.1356
Zr1 0.3223 0.7500 0.8645
Ti1 0.0014 0.7500 0.3784
N1 0.0732 0.2500 0.8640
N2 0.1489 0.7500 0.6090
N3 0.4407 0.7500 0.1253
```

=====

Computed powder X-ray diffraction pattern
Compound: Ho4AlSn
Radiation: λ = 1.5418 Å (Cu Kα)
Structure: a DFT-relaxed cell (GGA-PBE, Alexandria)

Main lines, low angle first (2θ from 10° to 90°):
Position (°2θ), d_spacing, I (rel.), (hkl)
24.8, 3.585, 49, 0 0 4
35.4, 2.535, 100, 2 2 4
43.7, 2.070, 14, 4 0 4
50.9, 1.793, 18, 0 0 8
57.5, 1.603, 19, 2 2 8
63.6, 1.464, 36, 4 0 8
74.9, 1.268, 11, 4 4 8
85.6, 1.134, 11, 6 6 4

Structural model:
```
data_Ho4AlSn
_chemical_formula_sum 'Ho32 Al8 Sn8'
_space_group_name_H-M_alt 'F d d d'
_space_group_IT_number 70
_cell_length_a 10.1409
_cell_length_b 10.1491
_cell_length_c 14.3267
_cell_angle_alpha 90.00
_cell_angle_beta 90.00
_cell_angle_gamma 90.00
loop_
_space_group_symop_operation_xyz
'x,y,z'
'-x,-y,-z'
'-x+1/4,-y+1/4,z'
'x+1/4,y+1/4,-z'
'x,-y+1/4,-z+1/4'
'-x,y+1/4,z+1/4'
'-x+1/4,y,-z+1/4'
'x+1/4,-y,z+1/4'
'x,y+1/2,z+1/2'
'-x,-y+1/2,-z+1/2'
'-x+1/4,-y+3/4,z+1/2'
'x+1/4,y+3/4,-z+1/2'
'x,-y+3/4,-z+3/4'
'-x,y+3/4,z+3/4'
'-x+1/4,y+1/2,-z+3/4'
'x+1/4,-y+1/2,z+3/4'
'x+1/2,y,z+1/2'
'-x+1/2,-y,-z+1/2'
'-x+3/4,-y+1/4,z+1/2'
'x+3/4,y+1/4,-z+1/2'
'x+1/2,-y+1/4,-z+3/4'
'-x+1/2,y+1/4,z+3/4'
'-x+3/4,y,-z+3/4'
'x+3/4,-y,z+3/4'
'x+1/2,y+1/2,z'
'-x+1/2,-y+1/2,-z'
'-x+3/4,-y+3/4,z'
'x+3/4,y+3/4,-z'
'x+1/2,-y+3/4,-z+1/4'
'-x+1/2,y+3/4,z+1/4'
'-x+3/4,y+1/2,-z+1/4'
'x+3/4,-y+1/2,z+1/4'
loop_
_atom_site_label
_atom_site_fract_x
_atom_site_fract_y
_atom_site_fract_z
Ho1 0.1201 0.3699 0.2498
Al1 0.1250 0.1250 0.1250
Sn1 0.1250 0.1250 0.6250
```

=====

What did the sixth record say?
Computed powder X-ray diffraction pattern
Compound: V5B2P
Radiation: λ = 1.5418 Å (Cu Kα)
Structure: a DFT-relaxed cell (GGA-PBE, Alexandria)

Main lines, low angle first (2θ from 10° to 90°):
Position (°2θ), d_spacing, I (rel.), (hkl)
36.1, 2.490, 65, 2 1 1
40.7, 2.217, 43, 1 1 4
43.6, 2.074, 100, 2 1 3
44.7, 2.025, 22, 2 2 0
46.7, 1.945, 67, 2 0 4
50.4, 1.812, 54, 3 1 0
72.5, 1.303, 18, 2 1 7
79.7, 1.203, 25, 3 3 4

Structural model:
```
data_V5B2P
_chemical_formula_sum 'V20 B8 P4'
_space_group_name_H-M_alt 'I 4/m c m'
_space_group_IT_number 140
_space_group_name_Hall '-I 4 2c'
_cell_length_a 5.7290
_cell_length_b 5.7290
_cell_length_c 10.5984
_cell_angle_alpha 90.00
_cell_angle_beta 90.00
_cell_angle_gamma 90.00
loop_
_atom_site_label
_atom_site_fract_x
_atom_site_fract_y
_atom_site_fract_z
V1 0.0000 0.0000 0.0000
V2 0.1694 0.3306 0.1399
B1 0.1149 0.3851 0.5000
P1 0.0000 0.0000 0.2500
```